Simulated PXRD pattern of AcPr7Sm2 for Cu Kα, from a structure optimized by DFT (GGA-PBE).

Peak list (12 most intense, 2θ = 15–90°, low angle first)
(hkl), 2theta, I/Imax
1 2 1, 27.97, 47.8
1 1 4, 28.72, 100.0
1 0 5, 30.89, 23.6
0 2 4, 31.03, 30.2
2 0 0, 31.47, 52.5
1 2 3, 31.85, 60.7
1 3 0, 37.60, 27.4
2 2 4, 44.78, 22.1
3 1 4, 54.33, 24.3
3 2 3, 56.28, 14.2
1 1 10, 58.41, 20.4
1 5 4, 65.05, 19.9

Cell and atoms:
```
data_AcPr7Sm2
_symmetry_space_group_name_H-M 'I m m m'
_symmetry_Int_Tables_number 71
_symmetry_space_group_name_Hall '-I 2 2'
_cell_length_a 5.6846
_cell_length_b 7.9169
_cell_length_c 16.8182
_cell_angle_alpha 90.00
_cell_angle_beta 90.00
_cell_angle_gamma 90.00
loop_
_atom_site_label
_atom_site_fract_x
_atom_site_fract_y
_atom_site_fract_z
_atom_site_occupancy
Ac1 0.0000 0.0000 0.0000 1
Pr1 0.0000 0.0000 0.5000 1
Pr2 0.0000 0.2988 0.3686 1
Pr3 0.0000 0.5000 0.1544 1
Sm1 0.0000 0.0000 0.2141 1
```



Simulated PXRD pattern of CdFe2CoC for Cu Kα, from a structure optimized by DFT (GGA-PBE).

Peak list (12 most intense, 2θ = 15–90°, low angle first)
(hkl), 2theta, I/Imax
1 0 0, 23.03, 4.2
1 0 1, 32.65, 9.0
1 1 0, 32.79, 5.3
1 1 1, 40.34, 100.0
0 0 2, 46.65, 18.3
2 0 0, 47.05, 35.7
2 1 1, 58.45, 3.1
2 0 2, 68.42, 21.2
2 2 0, 68.74, 10.5
1 1 3, 82.23, 11.1
3 1 1, 82.83, 21.9
2 2 2, 87.19, 10.8

Cell and atoms:
```
data_CdFe2CoC
_symmetry_space_group_name_H-M 'P 4/m m m'
_symmetry_Int_Tables_number 123
_symmetry_space_group_name_Hall '-P 4 2'
_cell_length_a 3.8625
_cell_length_b 3.8625
_cell_length_c 3.8941
_cell_angle_alpha 90.00
_cell_angle_beta 90.00
_cell_angle_gamma 90.00
loop_
_atom_site_label
_atom_site_fract_x
_atom_site_fract_y
_atom_site_fract_z
_atom_site_occupancy
Cd1 0.0000 0.0000 0.0000 1
Fe1 0.0000 0.5000 0.5000 1
Co1 0.5000 0.5000 0.0000 1
C1 0.5000 0.5000 0.5000 1
```



Simulated PXRD pattern of Sr3Sb3Rh for Cu Kα, from a structure optimized by DFT (GGA-PBE).

Peak list (12 most intense, 2θ = 15–90°, low angle first)
(hkl), 2theta, I/Imax
1 1 2, 24.92, 27.0
1 1 3, 28.54, 82.2
1 1 -4, 29.15, 30.5
4 0 -2, 29.56, 30.6
3 1 -2, 29.77, 39.8
4 0 -3, 30.45, 21.9
3 1 1, 32.29, 66.7
0 0 6, 34.40, 41.1
3 1 -5, 36.56, 100.0
0 2 0, 39.26, 56.4
0 2 6, 53.18, 23.2
7 1 -4, 57.23, 25.9

Cell and atoms:
```
data_Sr3Sb3Rh
_symmetry_space_group_name_H-M 'C 1 2/m 1'
_symmetry_Int_Tables_number 12
_symmetry_space_group_name_Hall '-C 2y'
_cell_length_a 12.1068
_cell_length_b 4.5892
_cell_length_c 16.4668
_cell_angle_alpha 90.00
_cell_angle_beta 108.22
_cell_angle_gamma 90.00
loop_
_atom_site_label
_atom_site_fract_x
_atom_site_fract_y
_atom_site_fract_z
_atom_site_occupancy
Sr1 0.0238 0.0000 0.2389 1
Sr2 0.1155 0.5000 0.6076 1
Sr3 0.1808 0.0000 0.0830 1
Sb1 0.0524 0.5000 0.9322 1
Sb2 0.1325 0.0000 0.4585 1
Sb3 0.2460 0.5000 0.2559 1
Rh1 0.1769 0.5000 0.3976 1
```



Simulated PXRD pattern of BaBr3O6 for Cu Kα, from a structure optimized by DFT (GGA-PBE).

Peak list (12 most intense, 2θ = 15–90°, low angle first)
(hkl), 2theta, I/Imax
0 2 1, 26.06, 100.0
2 2 0, 28.47, 95.3
2 1 1, 29.76, 17.3
4 0 1, 38.97, 37.4
2 0 2, 44.42, 24.0
2 4 1, 48.97, 38.4
6 0 0, 50.41, 15.2
0 4 2, 53.61, 9.8
4 4 0, 58.91, 12.2
4 2 2, 61.81, 18.5
6 2 1, 65.50, 13.5
2 2 3, 70.92, 11.2

Cell and atoms:
```
data_BaBr3O6
_symmetry_space_group_name_H-M 'R 3 m'
_symmetry_Int_Tables_number 160
_symmetry_space_group_name_Hall 'R 3 -2"'
_cell_length_a 12.5417
_cell_length_b 12.5417
_cell_length_c 4.4013
_cell_angle_alpha 90.00
_cell_angle_beta 90.00
_cell_angle_gamma 120.00
loop_
_atom_site_label
_atom_site_fract_x
_atom_site_fract_y
_atom_site_fract_z
_atom_site_occupancy
Ba1 0.0000 0.0000 0.0000 1
Br1 0.0136 0.5068 0.0614 1
O1 0.0831 0.1661 0.5047 1
O2 0.2040 0.4079 0.7194 1
```



Simulated PXRD pattern of AcBiPd6 for Cu Kα, from a structure optimized by DFT (GGA-PBE).

Peak list (12 most intense, 2θ = 15–90°, low angle first)
(hkl), 2theta, I/Imax
1 0 0, 20.86, 7.5
0 0 2, 21.29, 3.7
1 1 0, 29.67, 3.3
1 0 2, 29.98, 6.5
1 1 2, 36.81, 100.0
2 0 0, 42.46, 33.9
0 0 4, 43.36, 15.4
2 2 0, 61.61, 11.2
2 0 4, 62.30, 20.9
3 1 2, 73.97, 25.9
1 1 6, 75.23, 11.5
2 2 4, 78.31, 10.8

Cell and atoms:
```
data_AcBiPd6
_symmetry_space_group_name_H-M 'P 4/m m m'
_symmetry_Int_Tables_number 123
_symmetry_space_group_name_Hall '-P 4 2'
_cell_length_a 4.2580
_cell_length_b 4.2580
_cell_length_c 8.3482
_cell_angle_alpha 90.00
_cell_angle_beta 90.00
_cell_angle_gamma 90.00
loop_
_atom_site_label
_atom_site_fract_x
_atom_site_fract_y
_atom_site_fract_z
_atom_site_occupancy
Ac1 0.0000 0.0000 0.0000 1
Bi1 0.0000 0.0000 0.5000 1
Pd1 0.0000 0.5000 0.2622 1
Pd2 0.5000 0.5000 0.0000 1
Pd3 0.5000 0.5000 0.5000 1
```



Simulated PXRD pattern of PF6 for Cu Kα, from a structure optimized by DFT (GGA-PBE).

Peak list (11 most intense, 2θ = 15–90°, low angle first)
(hkl), 2theta, I/Imax
1 1 0, 21.01, 100.0
2 0 0, 29.88, 27.9
2 1 1, 36.81, 3.9
3 1 0, 48.11, 30.8
2 2 2, 53.04, 6.9
4 0 0, 62.07, 9.3
3 3 0, 66.30, 12.2
4 2 0, 70.40, 5.5
3 3 2, 74.39, 0.9
4 3 1, 82.18, 10.0
5 2 1, 89.82, 0.5

Cell and atoms:
```
data_PF6
_symmetry_space_group_name_H-M 'I m -3 m'
_symmetry_Int_Tables_number 229
_symmetry_space_group_name_Hall '-I 4 2 3'
_cell_length_a 5.9811
_cell_length_b 5.9811
_cell_length_c 5.9811
_cell_angle_alpha 90.00
_cell_angle_beta 90.00
_cell_angle_gamma 90.00
loop_
_atom_site_label
_atom_site_fract_x
_atom_site_fract_y
_atom_site_fract_z
_atom_site_occupancy
P1 0.0000 0.0000 0.0000 1
F1 0.0000 0.0000 0.2721 1
```



Simulated PXRD pattern of Tb3PmPrTh for Cu Kα, from a structure optimized by DFT (GGA-PBE).

Peak list (12 most intense, 2θ = 15–90°, low angle first)
(hkl), 2theta, I/Imax
1 1 2, 30.35, 100.0
0 2 0, 35.16, 34.0
3 0 0, 35.26, 16.8
1 2 -4, 50.56, 18.3
3 2 0, 50.67, 18.1
0 1 6, 60.08, 14.5
1 3 2, 60.19, 21.6
5 1 -2, 60.30, 7.1
2 2 4, 63.09, 6.2
4 2 -4, 63.20, 6.2
0 3 6, 82.30, 6.0
1 4 -4, 85.05, 8.3

Cell and atoms:
```
data_Tb3PmPrTh
_symmetry_space_group_name_H-M 'P 1 21/m 1'
_symmetry_Int_Tables_number 11
_symmetry_space_group_name_Hall '-P 2yb'
_cell_length_a 8.0474
_cell_length_b 5.1004
_cell_length_c 10.2206
_cell_angle_alpha 90.00
_cell_angle_beta 108.37
_cell_angle_gamma 90.00
loop_
_atom_site_label
_atom_site_fract_x
_atom_site_fract_y
_atom_site_fract_z
_atom_site_occupancy
Tb1 0.1686 0.2500 0.0437 1
Tb2 0.1703 0.7500 0.7910 1
Tb3 0.1751 0.2500 0.5428 1
Pm1 0.4981 0.2500 0.8703 1
Pr1 0.1723 0.7500 0.2939 1
Th1 0.4998 0.2500 0.3779 1
```



Simulated PXRD pattern of Mo5W3 for Cu Kα, from a structure optimized by DFT (GGA-PBE).

Peak list (12 most intense, 2θ = 15–90°, low angle first)
(hkl), 2theta, I/Imax
1 1 1, 19.78, 3.7
1 2 0, 24.29, 1.5
2 1 1, 31.51, 2.5
2 2 0, 34.61, 1.9
2 2 2, 40.18, 100.0
0 3 3, 42.73, 1.4
3 1 1, 45.17, 1.0
3 3 1, 54.05, 1.2
4 0 0, 58.13, 16.7
2 5 1, 60.10, 0.9
4 4 0, 73.02, 34.1
4 4 4, 86.79, 11.2

Cell and atoms:
```
data_Mo5W3
_symmetry_space_group_name_H-M 'A m m 2'
_symmetry_Int_Tables_number 38
_symmetry_space_group_name_Hall 'A 2 -2'
_cell_length_a 6.3481
_cell_length_b 8.9771
_cell_length_c 8.9770
_cell_angle_alpha 90.00
_cell_angle_beta 90.00
_cell_angle_gamma 90.00
loop_
_atom_site_label
_atom_site_fract_x
_atom_site_fract_y
_atom_site_fract_z
_atom_site_occupancy
Mo1 0.0000 0.0000 0.0000 1
Mo2 0.0000 0.2496 0.2494 1
Mo3 0.2497 0.0000 0.2494 1
Mo4 0.2496 0.2500 0.4995 1
Mo5 0.5000 0.0000 0.4990 1
W1 0.0000 0.0000 0.4989 1
W2 0.2495 0.0000 0.7495 1
W3 0.5000 0.0000 0.9999 1
W4 0.5000 0.2494 0.2495 1
```



Simulated PXRD pattern of TlGe2Te3 for Cu Kα, from a structure optimized by DFT (GGA-PBE).

Peak list (12 most intense, 2θ = 15–90°, low angle first)
(hkl), 2theta, I/Imax
0 3 1, 25.20, 39.3
1 1 1, 25.89, 29.7
1 2 1, 29.04, 100.0
1 0 2, 31.70, 32.4
0 3 2, 32.06, 56.1
1 1 2, 32.62, 52.7
1 3 1, 33.70, 22.7
1 2 2, 35.22, 33.7
1 5 0, 44.29, 22.7
2 0 0, 44.87, 28.2
1 1 4, 52.18, 24.3
2 3 2, 56.21, 22.7

Cell and atoms:
```
data_TlGe2Te3
_symmetry_space_group_name_H-M 'P m c 21'
_symmetry_Int_Tables_number 26
_symmetry_space_group_name_Hall 'P 2c -2'
_cell_length_a 4.0398
_cell_length_b 11.8598
_cell_length_c 7.8856
_cell_angle_alpha 90.00
_cell_angle_beta 90.00
_cell_angle_gamma 90.00
loop_
_atom_site_label
_atom_site_fract_x
_atom_site_fract_y
_atom_site_fract_z
_atom_site_occupancy
Tl1 0.0000 0.1392 0.0000 1
Ge1 0.0000 0.2145 0.4966 1
Ge2 0.5000 0.4964 0.5324 1
Te1 0.0000 0.3921 0.7222 1
Te2 0.5000 0.0826 0.6531 1
Te3 0.5000 0.3084 0.2580 1
```



Simulated PXRD pattern of Na2CoGe3Pt4 for Cu Kα, from a structure optimized by DFT (GGA-PBE).

Peak list (12 most intense, 2θ = 15–90°, low angle first)
(hkl), 2theta, I/Imax
0 0 2, 16.36, 54.3
1 0 1, 23.29, 78.6
0 0 3, 24.65, 25.3
1 1 1, 32.10, 45.1
1 0 3, 33.12, 28.5
1 1 2, 35.24, 91.7
2 0 0, 44.40, 69.5
1 1 4, 45.95, 100.0
1 0 5, 47.50, 26.9
2 2 0, 64.60, 22.6
2 1 5, 67.07, 24.2
3 1 4, 82.87, 36.9

Cell and atoms:
```
data_Na2CoGe3Pt4
_symmetry_space_group_name_H-M 'P -4 m 2'
_symmetry_Int_Tables_number 115
_symmetry_space_group_name_Hall 'P -4 -2'
_cell_length_a 4.0806
_cell_length_b 4.0806
_cell_length_c 10.8362
_cell_angle_alpha 90.00
_cell_angle_beta 90.00
_cell_angle_gamma 90.00
loop_
_atom_site_label
_atom_site_fract_x
_atom_site_fract_y
_atom_site_fract_z
_atom_site_occupancy
Na1 0.0000 0.5000 0.2429 1
Co1 0.5000 0.5000 0.0000 1
Ge1 0.0000 0.0000 0.0000 1
Ge2 0.0000 0.5000 0.6409 1
Pt1 0.0000 0.0000 0.5000 1
Pt2 0.0000 0.5000 0.8646 1
Pt3 0.5000 0.5000 0.5000 1
```



Simulated PXRD pattern of Tb4Sm3Ag4 for Cu Kα, from a structure optimized by DFT (GGA-PBE).

Peak list (12 most intense, 2θ = 15–90°, low angle first)
(hkl), 2theta, I/Imax
1 2 1, 29.98, 100.0
0 1 5, 30.36, 27.0
1 1 4, 30.85, 40.6
1 0 5, 33.14, 17.3
0 0 6, 33.65, 17.3
1 2 3, 34.01, 30.8
2 0 0, 35.40, 47.9
1 2 5, 41.02, 23.2
0 2 6, 41.50, 25.5
2 1 5, 47.31, 15.8
3 2 1, 60.24, 13.5
1 2 11, 72.09, 12.7

Cell and atoms:
```
data_Tb4Sm3Ag4
_symmetry_space_group_name_H-M 'I m m m'
_symmetry_Int_Tables_number 71
_symmetry_space_group_name_Hall '-I 2 2'
_cell_length_a 5.0710
_cell_length_b 7.5714
_cell_length_c 15.9784
_cell_angle_alpha 90.00
_cell_angle_beta 90.00
_cell_angle_gamma 90.00
loop_
_atom_site_label
_atom_site_fract_x
_atom_site_fract_y
_atom_site_fract_z
_atom_site_occupancy
Tb1 0.0000 0.2216 0.1751 1
Sm1 0.0000 0.0000 0.3954 1
Sm2 0.0000 0.5000 0.5000 1
Ag1 0.0000 0.3132 0.0000 1
Ag2 0.0000 0.5000 0.3029 1
```



Simulated PXRD pattern of Ba2VSb2 for Cu Kα, from a structure optimized by DFT (GGA-PBE).

Peak list (12 most intense, 2θ = 15–90°, low angle first)
(hkl), 2theta, I/Imax
3 1 0, 28.99, 38.9
2 0 1, 29.14, 11.5
2 1 1, 30.59, 100.0
3 2 0, 33.17, 10.1
4 0 0, 36.92, 9.9
3 3 0, 39.25, 11.4
4 1 1, 44.73, 13.2
0 0 2, 46.04, 8.9
4 4 0, 53.26, 11.7
3 1 2, 55.34, 12.1
5 2 1, 55.94, 17.8
2 1 3, 75.58, 7.3

Cell and atoms:
```
data_Ba2VSb2
_symmetry_space_group_name_H-M 'P 4/m b m'
_symmetry_Int_Tables_number 127
_symmetry_space_group_name_Hall '-P 4 2ab'
_cell_length_a 9.7389
_cell_length_b 9.7389
_cell_length_c 3.9424
_cell_angle_alpha 90.00
_cell_angle_beta 90.00
_cell_angle_gamma 90.00
loop_
_atom_site_label
_atom_site_fract_x
_atom_site_fract_y
_atom_site_fract_z
_atom_site_occupancy
Ba1 0.1311 0.3689 0.0000 1
V1 0.0000 0.0000 0.0000 1
Sb1 0.1724 0.6724 0.5000 1
```



> Which formula does entry 10 have?

Na2CoGe3Pt4